No. 1
# K4PH5S3O16
Simulated powder X-ray diffraction pattern, CuKα. Input: a DFT-relaxed cell (PBE, Alexandria).

Principal peaks in the range 2θ from 15° to 90°, sorted by position:
hkl, 2theta, d [Å], I_rel
0 0 2, 24.5, 3.632, 75
0 2 0, 24.7, 3.607, 100
2 0 1, 27.0, 3.307, 45
2 1 1, 27.2, 3.280, 61
2 0 -1, 27.4, 3.259, 51
0 2 2, 28.5, 3.129, 57

```
K4PH5S3O16
1.0
7.383 0.000 0.000
0.593 7.645 0.000
0.331 2.548 7.263
K P H S O
4 1 5 3 16
direct
0.000 0.000 0.000
0.056 0.477 0.446
0.363 0.540 0.885
0.690 0.920 0.559
0.490 0.008 0.032
0.275 0.152 0.254
0.397 0.718 0.146
0.538 0.205 0.748
0.652 0.791 0.261
0.769 0.324 0.195
0.152 0.959 0.502
0.557 0.460 0.423
0.897 0.512 0.947
0.002 0.591 0.057
0.008 0.460 0.807
0.039 0.005 0.644
0.050 0.876 0.392
0.205 0.158 0.370
0.323 0.851 0.571
0.371 0.161 0.068
0.376 0.841 0.036
0.412 0.530 0.282
0.469 0.390 0.609
0.587 0.078 0.837
0.651 0.928 0.170
0.673 0.616 0.413
0.674 0.307 0.389
0.729 0.624 0.877
0.838 0.314 0.081
```



No. 2
# KPr2Hg6
Simulated powder X-ray diffraction pattern, CuKα. Input: a DFT-relaxed cell (PBE, Alexandria).

Principal peaks in the range 2θ from 15° to 90°, sorted by position:
hkl, 2theta, d [Å], I_rel
1 1 1, 32.5, 2.756, 87
3 0 0, 34.7, 2.586, 100
3 0 1, 43.5, 2.079, 36
2 2 1, 48.3, 1.886, 29
4 1 1, 60.8, 1.524, 29
3 0 2, 64.3, 1.448, 34

```
KPr2Hg6
1.0
8.957 0.000 0.000
-4.479 7.757 0.000
0.000 0.000 3.496
K Pr Hg
1 2 6
direct
0.000 0.000 0.000
0.333 0.667 0.000
0.667 0.333 0.000
0.000 0.335 0.500
0.000 0.665 0.500
0.335 0.000 0.500
0.335 0.335 0.500
0.665 0.000 0.500
0.665 0.665 0.500
```